No. 1
Hf4Pd: simulated X-ray powder pattern (Cu Kα (weighted mean of Kα1 and Kα2)), based on a structure optimized by DFT (PBE).
Peak positions follow from Bragg's law for the DFT cell and can differ from measured ones.

The 10 most intense peaks (5° ≤ 2θ ≤ 70°), by angle:
2theta  I_rel
17.8  10
25.2  9
31.0  100
36.0  95
40.4  5
44.4  4
51.8  67
55.2  2
61.6  44
64.7  23

Cell and atoms:
```
5
Lattice="4.9930 0.0000 0.0000 0.0000 4.9930 0.0000 0.0000 0.0000 4.9930" Properties=species:S:1:pos:R:3 pbc="T T T"
Hf 0.0000 0.0000 0.0000
Hf 0.0000 2.4965 2.4965
Hf 2.4965 0.0000 2.4965
Hf 2.4965 2.4965 0.0000
Pd 2.4965 2.4965 2.4965
```


No. 2
CuIr3: simulated X-ray powder pattern (Cu Kα (weighted mean of Kα1 and Kα2)), based on a structure optimized by DFT (PBE).
Peak positions follow from Bragg's law for the DFT cell and can differ from measured ones.

The 10 most intense peaks (5° ≤ 2θ ≤ 70°), by angle:
2theta  I_rel
16.4  14
23.4  7
28.7  10
36.9  5
40.7  100
41.0  98
47.4  65
47.8  32
68.8  11
69.6  51

Cell and atoms:
```
4
Lattice="2.7276 0.0000 0.0000 0.0000 3.8048 0.0000 0.0000 0.0000 5.3984" Properties=species:S:1:pos:R:3 pbc="T T T"
Cu 0.0000 0.0000 0.0000
Ir 0.0000 0.0000 2.6992
Ir 1.3638 1.9024 1.3317
Ir 1.3638 1.9024 4.0667
```


No. 3
Na5B7C3: simulated X-ray powder pattern (Cu Kα (weighted mean of Kα1 and Kα2)), based on a structure optimized by DFT (PBE).
Peak positions follow from Bragg's law for the DFT cell and can differ from measured ones.

The 10 most intense peaks (5° ≤ 2θ ≤ 70°), by angle:
2theta  I_rel
6.9  2
34.9  8
36.2  12
40.9  36
42.1  100
55.9  4
56.8  7
63.4  12
66.1  6
67.5  2

Cell and atoms:
```
30
Lattice="8.5655 0.0000 0.0000 0.0000 1.4145 12.8593 0.0000 -1.4145 12.8593" Properties=species:S:1:pos:R:3 pbc="T T T"
Na 2.1135 0.0000 0.0000
Na 2.1194 0.0000 5.0915
Na 2.1206 0.0000 20.5476
Na 2.1347 0.0000 10.2947
Na 2.1302 0.0000 15.3979
Na 6.4308 0.0000 10.2947
Na 6.4353 0.0000 15.3979
Na 6.4449 0.0000 20.5476
Na 6.4520 0.0000 0.0000
Na 6.4461 0.0000 5.0915
B 0.0000 0.0000 1.8558
B 0.0000 0.0000 6.6898
B 0.0000 0.0000 8.4896
B 0.0000 0.0000 11.9188
B 0.0000 0.0000 13.6933
B 0.0000 0.0000 17.1216
B 0.0000 0.0000 22.3592
B 4.2827 0.0000 3.3136
B 4.2827 0.0000 6.8003
B 4.2827 0.0000 8.4805
B 4.2827 0.0000 13.7682
B 4.2827 0.0000 18.5521
B 4.2827 0.0000 22.4457
B 4.2827 0.0000 24.1985
C 0.0000 0.0000 3.4613
C 0.0000 0.0000 18.7593
C 0.0000 0.0000 23.9746
C 4.2827 0.0000 1.7105
C 4.2827 0.0000 12.1385
C 4.2827 0.0000 16.9985
```


Repeat the third record exactly.
Na5B7C3: simulated X-ray powder pattern (Cu Kα (weighted mean of Kα1 and Kα2)), based on a structure optimized by DFT (PBE).
Peak positions follow from Bragg's law for the DFT cell and can differ from measured ones.

The 10 most intense peaks (5° ≤ 2θ ≤ 70°), by angle:
2theta  I_rel
6.9  2
34.9  8
36.2  12
40.9  36
42.1  100
55.9  4
56.8  7
63.4  12
66.1  6
67.5  2

Cell and atoms:
```
30
Lattice="8.5655 0.0000 0.0000 0.0000 1.4145 12.8593 0.0000 -1.4145 12.8593" Properties=species:S:1:pos:R:3 pbc="T T T"
Na 2.1135 0.0000 0.0000
Na 2.1194 0.0000 5.0915
Na 2.1206 0.0000 20.5476
Na 2.1347 0.0000 10.2947
Na 2.1302 0.0000 15.3979
Na 6.4308 0.0000 10.2947
Na 6.4353 0.0000 15.3979
Na 6.4449 0.0000 20.5476
Na 6.4520 0.0000 0.0000
Na 6.4461 0.0000 5.0915
B 0.0000 0.0000 1.8558
B 0.0000 0.0000 6.6898
B 0.0000 0.0000 8.4896
B 0.0000 0.0000 11.9188
B 0.0000 0.0000 13.6933
B 0.0000 0.0000 17.1216
B 0.0000 0.0000 22.3592
B 4.2827 0.0000 3.3136
B 4.2827 0.0000 6.8003
B 4.2827 0.0000 8.4805
B 4.2827 0.0000 13.7682
B 4.2827 0.0000 18.5521
B 4.2827 0.0000 22.4457
B 4.2827 0.0000 24.1985
C 0.0000 0.0000 3.4613
C 0.0000 0.0000 18.7593
C 0.0000 0.0000 23.9746
C 4.2827 0.0000 1.7105
C 4.2827 0.0000 12.1385
C 4.2827 0.0000 16.9985
```